# Mg3CuRh2
Simulated XRD peak list, Cu Kα (weighted mean of Kα1 and Kα2). Input: a crystal structure in Alexandria, relaxed with PBE.
Lines closer than 0.1° are merged.

Most intense lines, 10 to 90 degrees two-theta, sorted by position:
| 2theta | I (rel.) |
| --- | --- |
| 27.7 | 23.1 |
| 29.0 | 40.3 |
| 40.5 | 100.0 |
| 41.4 | 22.7 |
| 41.6 | 23.5 |
| 57.2 | 8.9 |
| 60.1 | 14.5 |
| 74.9 | 13.8 |
| 75.2 | 15.0 |
| 87.7 | 9.7 |

Structure:
Cell lengths 4.342, 13.087, 3.222 Å; angles 90.00, 90.00, 90.00 degrees
Space group Cmmm (No. 65)
Symmetry-distinct sites (fractional):
Mg1 0.000 0.000 0.000 [2 per cell]
Mg2 0.000 0.328 0.000 [4 per cell]
Cu1 0.000 0.500 0.500 [2 per cell]
Rh1 0.000 0.160 0.500 [4 per cell]


# MgCuRh
Simulated XRD peak list, Cu Kα (weighted mean of Kα1 and Kα2). Input: a crystal structure in Alexandria, relaxed with PBE.
Lines closer than 0.1° are merged.

Most intense lines, 10 to 90 degrees two-theta, sorted by position:
| 2theta | I (rel.) |
| --- | --- |
| 29.2 | 73.7 |
| 41.0 | 80.8 |
| 41.2 | 39.9 |
| 42.3 | 100.0 |
| 60.3 | 11.3 |
| 60.5 | 21.7 |
| 75.0 | 12.6 |
| 75.7 | 11.1 |
| 75.9 | 10.9 |
| 87.7 | 16.7 |

Structure:
Cell lengths 4.382, 7.631, 5.158 Å; angles 90.00, 90.00, 90.00 degrees
Space group Cmcm (No. 63)
Symmetry-distinct sites (fractional):
Mg1 0.000 0.166 0.250 [4 per cell]
Cu1 0.000 0.500 0.000 [4 per cell]
Rh1 0.000 0.166 0.750 [4 per cell]